Er5ThCd6: simulated PXRD pattern (λ = 1.5418 Å (Cu Kα)), based on a GGA-PBE-relaxed structure.
Peak positions follow from Bragg's law for the DFT cell and can differ from measured ones.

Structure:
```
data_Er5ThCd6
_chemical_formula_sum 'Er10 Th2 Cd12'
_symmetry_space_group_name_H-M 'I m m m'
_symmetry_Int_Tables_number 71
_symmetry_space_group_name_Hall '-I 2 2'
_cell_length_a 5.233
_cell_length_b 7.611
_cell_length_c 15.718
_cell_angle_alpha 90.00
_cell_angle_beta 90.00
_cell_angle_gamma 90.00
loop_
_atom_site_label
_atom_site_fract_x
_atom_site_fract_y
_atom_site_fract_z
Er1 0.000 0.000 0.000
Er2 0.000 0.000 0.338
Er3 0.000 0.500 0.331
Th1 0.000 0.500 0.000
Cd1 0.000 0.240 0.171
Cd2 0.000 0.268 0.500
```

Principal peaks in the range 10° ≤ 2θ ≤ 90°, in order of rising 2θ:
- 2θ 23.4, intensity 3, (0 2 0)
- 2θ 24.0, intensity 5, (1 0 3)
- 2θ 33.8, intensity 100, (1 2 3)
- 2θ 34.2, intensity 49, (2 0 0)
- 2θ 47.8, intensity 9, (0 4 0)
- 2θ 49.2, intensity 17, (2 0 6)
- 2θ 60.1, intensity 18, (2 4 0)
- 2θ 61.0, intensity 35, (3 2 3)
- 2θ 71.0, intensity 11, (2 4 6)
- 2θ 79.9, intensity 8, (1 6 3)
- 2θ 82.1, intensity 8, (3 2 9)
- 2θ 82.4, intensity 8, (4 0 6)